(1)
MgCu2O3: calculated PXRD pattern (a wavelength of 1.5418 Å), based on DFT lattice parameters and positions (PBE).
Kinematic intensities with the Lorentz-polarization factor, no thermal factor.

a b c (Å): 4.2265 4.2265 3.8544
angles (deg): 90.00 90.00 90.00
Atoms (fractional coordinates):
Mg1 0.0000 0.0000 0.0000
Cu1 0.0000 0.5000 0.5000
Cu2 0.5000 0.0000 0.5000
O1 0.0000 0.0000 0.5000
O2 0.0000 0.5000 0.0000
O3 0.5000 0.0000 0.0000

The 6 most intense peaks (10 to 90 degrees two-theta), by intensity:
- 2θ = 29.90°, 2.989 Å, rel. 100
- 2θ = 42.79°, 2.113 Å, rel. 97
- 2θ = 38.10°, 2.362 Å, rel. 81
- 2θ = 23.08°, 3.854 Å, rel. 50
- 2θ = 65.56°, 1.424 Å, rel. 46
- 2θ = 47.16°, 1.927 Å, rel. 35

---

(2)
SiO2: calculated PXRD pattern (a wavelength of 1.5418 Å), based on DFT lattice parameters and positions (PBE).
Kinematic intensities with the Lorentz-polarization factor, no thermal factor.

a b c (Å): 5.0847 5.0847 7.0986
angles (deg): 90.00 90.00 90.00
Atoms (fractional coordinates):
Si1 0.2056 0.2056 0.0000
Si2 0.2944 0.7056 0.2500
Si3 0.7056 0.2944 0.7500
Si4 0.7944 0.7944 0.5000
O1 0.0941 0.7590 0.4244
O2 0.2410 0.9059 0.0756
O3 0.2590 0.4059 0.1744
O4 0.4059 0.2590 0.8256
O5 0.5941 0.7410 0.3256
O6 0.7410 0.5941 0.6744
O7 0.7590 0.0941 0.5756
O8 0.9059 0.2410 0.9244

The 6 most intense peaks (10 to 90 degrees two-theta), by intensity:
- 2θ = 21.50°, 4.134 Å, rel. 100
- 2θ = 35.30°, 2.542 Å, rel. 14
- 2θ = 30.72°, 2.910 Å, rel. 10
- 2θ = 27.81°, 3.207 Å, rel. 8
- 2θ = 47.49°, 1.915 Å, rel. 6
- 2θ = 55.76°, 1.649 Å, rel. 6

---

(3)
Ce2MgPb: calculated PXRD pattern (a wavelength of 1.5418 Å), based on DFT lattice parameters and positions (PBE).
Kinematic intensities with the Lorentz-polarization factor, no thermal factor.

a b c (Å): 5.4814 5.4814 5.4814
angles (deg): 60.00 60.00 60.00
Atoms (fractional coordinates):
Ce1 0.2500 0.2500 0.2500
Ce2 0.7500 0.7500 0.7500
Mg1 0.0000 0.0000 0.0000
Pb1 0.5000 0.5000 0.5000

The 6 most intense peaks (10 to 90 degrees two-theta), by intensity:
- 2θ = 32.67°, 2.741 Å, rel. 100
- 2θ = 58.31°, 1.582 Å, rel. 39
- 2θ = 19.84°, 4.476 Å, rel. 27
- 2θ = 46.88°, 1.938 Å, rel. 18
- 2θ = 77.95°, 1.226 Å, rel. 17
- 2θ = 38.52°, 2.337 Å, rel. 16

---

(4)
TlCoMo2: calculated PXRD pattern (a wavelength of 1.5418 Å), based on DFT lattice parameters and positions (PBE).
Kinematic intensities with the Lorentz-polarization factor, no thermal factor.

a b c (Å): 4.5043 4.5043 4.5043
angles (deg): 60.00 60.00 60.00
Atoms (fractional coordinates):
Tl1 0.0000 0.0000 0.0000
Co1 0.7500 0.7500 0.7500
Mo1 0.2500 0.2500 0.2500
Mo2 0.5000 0.5000 0.5000

The 6 most intense peaks (10 to 90 degrees two-theta), by intensity:
- 2θ = 40.03°, 2.252 Å, rel. 100
- 2θ = 72.72°, 1.300 Å, rel. 34
- 2θ = 57.91°, 1.593 Å, rel. 17
- 2θ = 24.20°, 3.678 Å, rel. 13
- 2θ = 28.01°, 3.185 Å, rel. 11
- 2θ = 86.41°, 1.126 Å, rel. 11